No. 1
Computed XRD peak list of Zr6TlIn for λ = 1.5418 Å (Cu Kα), from DFT lattice parameters and positions (PBE).
Lines closer than 0.1° are merged.

Atomic structure:
Cell lengths 6.3217, 6.3217, 5.2357 Å; angles 90.00, 90.00, 120.00 degrees
Positions (direct):
Zr: 0.0027 0.5014 0.0000
Zr: 0.3318 0.1659 0.5000
Zr: 0.4986 0.5014 0.0000
Zr: 0.4986 0.9973 0.0000
Zr: 0.8341 0.1659 0.5000
Zr: 0.8341 0.6682 0.5000
Tl: 0.0000 0.0000 0.0000
In: 0.3333 0.6667 0.5000

Most intense lines, 10° ≤ 2θ ≤ 90°, most intense first:
2θ = 37.06°, intensity 100; 2θ = 34.25°, intensity 28; 2θ = 32.71°, intensity 24; 2θ = 63.18°, intensity 20; 2θ = 69.47°, intensity 20; 2θ = 58.39°, intensity 17; 2θ = 48.09°, intensity 16; 2θ = 71.21°, intensity 14

=====

No. 2
Computed XRD peak list of NaInPb3 for λ = 1.5418 Å (Cu Kα), from DFT lattice parameters and positions (PBE).
Lines closer than 0.1° are merged.

Atomic structure:
Cell lengths 6.7190, 5.6299, 9.1562 Å; angles 90.00, 104.21, 90.00 degrees
Positions (direct):
Na: 0.1254 0.0000 0.2173
Na: 0.8746 0.5000 0.7827
In: 0.3652 0.9972 0.9334
In: 0.6348 0.4972 0.0666
Pb: 0.0453 0.9991 0.6014
Pb: 0.3521 0.4984 0.7330
Pb: 0.4506 0.4990 0.3843
Pb: 0.5494 0.9990 0.6157
Pb: 0.6479 0.9984 0.2670
Pb: 0.9547 0.4991 0.3986

Most intense lines, 10° ≤ 2θ ≤ 90°, most intense first:
2θ = 31.78°, intensity 100; 2θ = 34.24°, intensity 98; 2θ = 33.85°, intensity 77; 2θ = 35.40°, intensity 61; 2θ = 14.76°, intensity 45; 2θ = 25.56°, intensity 33; 2θ = 13.59°, intensity 30; 2θ = 29.78°, intensity 23

=====

No. 3
Computed XRD peak list of Cs2IrCl4F2 for λ = 1.5418 Å (Cu Kα), from DFT lattice parameters and positions (PBE).
Lines closer than 0.1° are merged.

Atomic structure:
Cell lengths 7.0022, 7.0022, 6.1169 Å; angles 101.17, 101.17, 62.43 degrees
Positions (direct):
Cs: 0.1757 0.1757 0.3142
Cs: 0.8243 0.8243 0.6858
Ir: 0.5000 0.5000 0.0000
Cl: 0.1880 0.6467 0.1826
Cl: 0.3533 0.8120 0.8174
Cl: 0.6467 0.1880 0.1826
Cl: 0.8120 0.3533 0.8174
F: 0.3617 0.3617 0.7530
F: 0.6383 0.6383 0.2470

Most intense lines, 10° ≤ 2θ ≤ 90°, most intense first:
2θ = 21.96°, intensity 100; 2θ = 31.04°, intensity 71; 2θ = 18.72°, intensity 60; 2θ = 26.00°, intensity 59; 2θ = 31.76°, intensity 33; 2θ = 24.53°, intensity 24; 2θ = 45.72°, intensity 23; 2θ = 37.27°, intensity 20